1.
Starting from a crystal structure in Alexandria, relaxed with PBE, the XRD peak list of NiBi3Au was simulated for λ = 1.5418 Å (Cu Kα).
Kinematic intensities with the Lorentz-polarization factor, no thermal factor.

```
10
Lattice="7.848 0.000 0.000 0.000 4.097 0.000 -1.182 0.000 7.955" Properties=species:S:1:pos:R:3 pbc="T T T"
Ni 0.484 1.024 0.645
Ni 6.183 3.072 7.310
Bi -0.731 1.024 5.712
Bi 1.063 3.072 7.805
Bi 2.337 1.024 2.689
Bi 4.330 3.072 5.266
Bi 5.604 1.024 0.149
Bi 7.398 3.072 2.243
Au 2.228 1.024 5.680
Au 4.438 3.072 2.275
```

Main lines, by angle (10 to 90 degrees two-theta):
27.75 deg, intensity 83
32.26 deg, intensity 94
32.56 deg, intensity 99
33.80 deg, intensity 58
34.63 deg, intensity 100
40.53 deg, intensity 39
41.23 deg, intensity 83
44.22 deg, intensity 53
45.22 deg, intensity 40
57.35 deg, intensity 47



2.
Starting from a crystal structure in Alexandria, relaxed with PBE, the XRD peak list of NiBi4Au was simulated for λ = 1.5418 Å (Cu Kα).
Kinematic intensities with the Lorentz-polarization factor, no thermal factor.

```
12
Lattice="4.400 -6.756 0.000 4.400 6.756 0.000 -2.890 0.000 5.311" Properties=species:S:1:pos:R:3 pbc="T T T"
Ni 2.233 6.527 3.983
Ni 3.678 -6.527 1.328
Bi 2.206 4.391 2.192
Bi 1.964 0.791 0.989
Bi 5.149 4.391 0.464
Bi 0.519 -0.791 3.645
Bi 5.391 0.791 1.666
Bi 0.761 -4.391 4.847
Bi 3.946 -0.791 4.322
Bi 3.704 -4.391 3.119
Au 2.233 1.868 3.983
Au 3.678 -1.868 1.328
```

Main lines, by angle (10 to 90 degrees two-theta):
26.57 deg, intensity 26
30.64 deg, intensity 74
31.20 deg, intensity 95
31.39 deg, intensity 100
33.96 deg, intensity 43
36.07 deg, intensity 31
36.58 deg, intensity 48
37.16 deg, intensity 83
40.33 deg, intensity 36
40.55 deg, intensity 43



3.
Starting from a crystal structure in Alexandria, relaxed with PBE, the XRD peak list of Np4Bi8Au3 was simulated for λ = 1.5418 Å (Cu Kα).
Kinematic intensities with the Lorentz-polarization factor, no thermal factor.

```
15
Lattice="4.618 0.000 0.000 0.000 4.618 0.000 0.000 0.000 19.385" Properties=species:S:1:pos:R:3 pbc="T T T"
Np 0.000 2.309 2.208
Np 0.000 2.309 11.993
Np 2.309 0.000 7.392
Np 2.309 0.000 17.177
Bi 0.000 0.000 4.765
Bi 0.000 0.000 14.620
Bi 0.000 2.309 7.707
Bi 0.000 2.309 17.652
Bi 2.309 0.000 1.733
Bi 2.309 0.000 11.677
Bi 2.309 2.309 4.782
Bi 2.309 2.309 14.603
Au 0.000 0.000 0.000
Au 0.000 0.000 9.692
Au 2.309 2.309 9.692
```

Main lines, by angle (10 to 90 degrees two-theta):
27.62 deg, intensity 8
28.85 deg, intensity 6
33.08 deg, intensity 100
37.10 deg, intensity 12
39.01 deg, intensity 38
48.46 deg, intensity 6
54.93 deg, intensity 15
56.35 deg, intensity 13
66.92 deg, intensity 27
69.41 deg, intensity 8